1.
Simulated powder diffractogram
Compound: HoHf2F11
Radiation: a wavelength of 1.5418 Å
Structure: the GGA-PBE geometry in Alexandria
Intensities are scaled so that the largest is 1000.

Cell and atoms:
Cell lengths 8.2327, 8.2327, 8.2327 Å; angles 123.97, 106.12, 99.42 degrees
Positions (direct):
Ho: 0.2500 0.2500 0.0000
Ho: 0.7500 0.7500 0.0000
Hf: 0.1819 0.6377 0.8196
Hf: 0.3181 0.1377 0.4557
Hf: 0.6819 0.8623 0.5443
Hf: 0.8181 0.3623 0.1804
F: 0.0000 0.5000 0.5000
F: 0.0411 0.9614 0.2807
F: 0.0573 0.3634 0.1546
F: 0.1807 0.4614 0.9203
F: 0.2088 0.9027 0.8454
F: 0.2172 0.3716 0.5888
F: 0.2828 0.8716 0.1544
F: 0.2912 0.1366 0.6940
F: 0.3193 0.2396 0.2807
F: 0.4427 0.5973 0.3060
F: 0.4589 0.7396 0.9203
F: 0.5000 0.0000 0.5000
F: 0.5411 0.2604 0.0797
F: 0.5573 0.4027 0.6940
F: 0.6807 0.7604 0.7193
F: 0.7088 0.8634 0.3060
F: 0.7172 0.1284 0.8456
F: 0.7828 0.6284 0.4112
F: 0.7912 0.0973 0.1546
F: 0.8193 0.5386 0.0797
F: 0.9427 0.6366 0.8454
F: 0.9589 0.0386 0.7193

Peak list (8 most intense, 2θ = 10–90°, sorted by position)
| two_theta | d/Å | Rel. int. |
| --- | --- | --- |
| 22.17 | 4.009 | 1000 |
| 22.92 | 3.881 | 499 |
| 24.56 | 3.624 | 761 |
| 26.12 | 3.412 | 785 |
| 45.30 | 2.002 | 473 |
| 47.94 | 1.898 | 415 |
| 50.16 | 1.819 | 304 |
| 50.64 | 1.803 | 379 |



2.
Simulated powder diffractogram
Compound: Sr5Si2Hg
Radiation: a wavelength of 1.5418 Å
Structure: the GGA-PBE geometry in Alexandria
Intensities are scaled so that the largest is 1000.

Cell and atoms:
Cell lengths 10.0589, 10.0589, 10.0589 Å; angles 132.02, 132.02, 70.20 degrees
Positions (direct):
Sr: 0.0000 0.0000 0.0000
Sr: 0.0391 0.5391 0.8513
Sr: 0.1878 0.0391 0.5000
Sr: 0.3122 0.8122 0.8513
Sr: 0.4609 0.3122 0.5000
Sr: 0.5000 0.5000 0.0000
Sr: 0.5391 0.6878 0.5000
Sr: 0.6878 0.1878 0.1487
Sr: 0.8122 0.9609 0.5000
Sr: 0.9609 0.4609 0.1487
Si: 0.1069 0.3931 0.5000
Si: 0.3931 0.8931 0.2863
Si: 0.6069 0.1069 0.7137
Si: 0.8931 0.6069 0.5000
Hg: 0.2500 0.2500 0.0000
Hg: 0.7500 0.7500 0.0000

Peak list (8 most intense, 2θ = 10–90°, sorted by position)
| two_theta | d/Å | Rel. int. |
| --- | --- | --- |
| 15.32 | 5.784 | 237 |
| 18.75 | 4.732 | 183 |
| 26.59 | 3.353 | 441 |
| 29.35 | 3.044 | 419 |
| 30.85 | 2.899 | 1000 |
| 34.68 | 2.587 | 467 |
| 52.41 | 1.746 | 244 |
| 57.21 | 1.610 | 197 |



3.
Simulated powder diffractogram
Compound: Pm6Pr2DyHo
Radiation: a wavelength of 1.5418 Å
Structure: the GGA-PBE geometry in Alexandria
Intensities are scaled so that the largest is 1000.

Cell and atoms:
Cell lengths 8.9460, 8.9460, 9.8742 Å; angles 94.51, 94.51, 118.18 degrees
Positions (direct):
Pm: 0.0181 0.5758 0.1896
Pm: 0.1237 0.7497 0.5559
Pm: 0.2503 0.8763 0.9441
Pm: 0.2922 0.5006 0.3804
Pm: 0.4242 0.9819 0.3104
Pm: 0.4994 0.7078 0.1196
Pm: 0.5006 0.2922 0.8804
Pm: 0.5758 0.0181 0.6896
Pm: 0.7078 0.4994 0.6196
Pm: 0.7497 0.1237 0.0559
Pm: 0.8763 0.2503 0.4441
Pm: 0.9819 0.4242 0.8104
Pr: 0.1939 0.2960 0.0418
Pr: 0.2960 0.1939 0.5418
Pr: 0.7040 0.8061 0.4582
Pr: 0.8061 0.7040 0.9582
Dy: 0.0184 0.9816 0.2500
Dy: 0.9816 0.0184 0.7500
Ho: 0.4075 0.5925 0.7500
Ho: 0.5925 0.4075 0.2500

Peak list (8 most intense, 2θ = 10–90°, sorted by position)
| two_theta | d/Å | Rel. int. |
| --- | --- | --- |
| 28.11 | 3.174 | 569 |
| 29.83 | 2.995 | 663 |
| 30.10 | 2.969 | 872 |
| 30.74 | 2.908 | 764 |
| 30.98 | 2.887 | 569 |
| 31.15 | 2.871 | 1000 |
| 31.67 | 2.825 | 261 |
| 32.84 | 2.727 | 780 |